Diffraction record for Th5Pa3S8. The powder diffractogram is calculated, not measured: it uses a structure optimized by DFT (PBE) and a wavelength of 1.5418 Å.

Top 8 peaks for 2θ = 15–90°, in order of rising 2θ:
3.258 Å, 2θ = 27.38°, I = 100, hkl 2 0 2
2.821 Å, 2θ = 31.71°, I = 96, hkl 0 2 4
1.995 Å, 2θ = 45.46°, I = 71, hkl 2 2 0
1.701 Å, 2θ = 53.89°, I = 51, hkl 0 2 10
1.629 Å, 2θ = 56.49°, I = 25, hkl 4 0 4
1.295 Å, 2θ = 73.10°, I = 21, hkl 2 0 14
1.262 Å, 2θ = 75.32°, I = 33, hkl 2 4 4
1.152 Å, 2θ = 84.02°, I = 25, hkl 6 0 0

Atomic structure:
```
data_Th5Pa3S8
_chemical_formula_sum 'Th15 Pa9 S24'
_cell_length_a 7.9786
_cell_length_b 7.9786
_cell_length_c 19.5559
_cell_angle_alpha 90.00
_cell_angle_beta 90.00
_cell_angle_gamma 120.00
_space_group_name_H-M_alt 'R -3 m'
_space_group_IT_number 166
_space_group_name_Hall '-R 3 2"'
loop_
_atom_site_label
_atom_site_fract_x
_atom_site_fract_y
_atom_site_fract_z
_atom_site_occupancy
Th1 0.0000 0.0000 0.0000 1
Th2 0.0000 0.0000 0.5000 1
Th3 0.0000 0.5000 0.0000 1
Pa1 0.0000 0.5000 0.5000 1
S1 0.0000 0.0000 0.2467 1
S2 0.0046 0.5023 0.7523 1
```

Diffraction record for Tm2ThPaS4. The powder diffractogram is calculated, not measured: it uses a structure optimized by DFT (PBE) and a wavelength of 1.5418 Å.

Top 8 peaks for 2θ = 15–90°, in order of rising 2θ:
3.360 Å, 2θ = 26.53°, I = 28, hkl 0 0 2
3.136 Å, 2θ = 28.46°, I = 47, hkl 1 1 -1
3.124 Å, 2θ = 28.57°, I = 23, hkl 2 0 0
2.758 Å, 2θ = 32.46°, I = 100, hkl 1 1 1
2.003 Å, 2θ = 45.26°, I = 26, hkl 1 1 -3
1.901 Å, 2θ = 47.86°, I = 23, hkl 3 1 -1
1.720 Å, 2θ = 53.27°, I = 14, hkl 1 1 3
1.654 Å, 2θ = 55.55°, I = 16, hkl 3 1 1

Atomic structure:
```
data_Tm2ThPaS4
_chemical_formula_sum 'Tm2 Th1 Pa1 S4'
_cell_length_a 6.5766
_cell_length_b 3.8138
_cell_length_c 7.0716
_cell_angle_alpha 90.00
_cell_angle_beta 108.17
_cell_angle_gamma 90.00
_space_group_name_H-M_alt 'P 1 2/m 1'
_space_group_IT_number 10
loop_
_space_group_symop_operation_xyz
'x,y,z'
'-x,-y,-z'
'-x,y,-z'
'x,-y,z'
loop_
_atom_site_label
_atom_site_fract_x
_atom_site_fract_y
_atom_site_fract_z
_atom_site_occupancy
Tm1 0.0000 0.0000 0.0000 1
Tm2 0.5000 0.5000 0.0000 1
Th1 0.0000 0.5000 0.5000 1
Pa1 0.5000 0.0000 0.5000 1
S1 0.2494 0.5000 0.2345 1
S2 0.2610 0.0000 0.7693 1
```

Diffraction record for PaTiS4. The powder diffractogram is calculated, not measured: it uses a structure optimized by DFT (PBE) and a wavelength of 1.5418 Å.

Top 8 peaks for 2θ = 15–90°, in order of rising 2θ:
5.814 Å, 2θ = 15.24°, I = 44, hkl 0 0 1
5.666 Å, 2θ = 15.64°, I = 51, hkl 2 0 -1
3.661 Å, 2θ = 24.31°, I = 40, hkl 1 1 0
3.278 Å, 2θ = 27.20°, I = 39, hkl 1 1 -1
2.944 Å, 2θ = 30.36°, I = 100, hkl 1 1 1
2.833 Å, 2θ = 31.58°, I = 48, hkl 4 0 -2
2.323 Å, 2θ = 38.76°, I = 55, hkl 3 1 1
2.285 Å, 2θ = 39.44°, I = 31, hkl 5 1 -1

Atomic structure:
```
data_PaTiS4
_chemical_formula_sum 'Pa2 Ti2 S8'
_cell_length_a 14.2677
_cell_length_b 3.8164
_cell_length_c 6.4050
_cell_angle_alpha 90.00
_cell_angle_beta 114.80
_cell_angle_gamma 90.00
_space_group_name_H-M_alt 'C 1 2/m 1'
_space_group_IT_number 12
loop_
_space_group_symop_operation_xyz
'x,y,z'
'-x,-y,-z'
'-x,y,-z'
'x,-y,z'
'x+1/2,y+1/2,z'
'-x+1/2,-y+1/2,-z'
'-x+1/2,y+1/2,-z'
'x+1/2,-y+1/2,z'
loop_
_atom_site_label
_atom_site_fract_x
_atom_site_fract_y
_atom_site_fract_z
_atom_site_occupancy
Pa1 0.0000 0.0000 0.0000 1
Ti1 0.0000 0.5000 0.5000 1
S1 0.1046 0.0000 0.7456 1
S2 0.1115 0.5000 0.2886 1
```

Diffraction record for PaTiS6. The powder diffractogram is calculated, not measured: it uses a structure optimized by DFT (PBE) and a wavelength of 1.5418 Å.

Top 8 peaks for 2θ = 15–90°, in order of rising 2θ:
4.657 Å, 2θ = 19.06°, I = 50, hkl 1 0 0
4.613 Å, 2θ = 19.24°, I = 86, hkl 0 1 -1
3.924 Å, 2θ = 22.66°, I = 48, hkl 1 -1 0
3.830 Å, 2θ = 23.22°, I = 57, hkl 1 0 -1
3.724 Å, 2θ = 23.89°, I = 68, hkl 0 1 1
3.662 Å, 2θ = 24.31°, I = 54, hkl 1 0 1
2.701 Å, 2θ = 33.16°, I = 100, hkl 1 1 1
2.307 Å, 2θ = 39.04°, I = 47, hkl 2 -1 0

Atomic structure:
```
data_PaTiS6
_chemical_formula_sum 'Pa1 Ti1 S6'
_cell_length_a 4.7473
_cell_length_b 5.6299
_cell_length_c 6.4385
_cell_angle_alpha 102.02
_cell_angle_beta 90.33
_cell_angle_gamma 100.87
_space_group_name_H-M_alt 'P -1'
_space_group_IT_number 2
loop_
_space_group_symop_operation_xyz
'x,y,z'
'-x,-y,-z'
loop_
_atom_site_label
_atom_site_fract_x
_atom_site_fract_y
_atom_site_fract_z
_atom_site_occupancy
Pa1 0.0000 0.0000 0.0000 1
Ti1 0.5000 0.5000 0.5000 1
S1 0.1358 0.2602 0.6892 1
S2 0.1622 0.5106 0.2222 1
S3 0.4701 0.8676 0.7636 1
```

Diffraction record for Pa2TlS6. The powder diffractogram is calculated, not measured: it uses a structure optimized by DFT (PBE) and a wavelength of 1.5418 Å.

Top 8 peaks for 2θ = 15–90°, in order of rising 2θ:
3.771 Å, 2θ = 23.59°, I = 100, hkl 1 1 0
3.386 Å, 2θ = 26.32°, I = 67, hkl 1 0 1
2.731 Å, 2θ = 32.79°, I = 19, hkl 1 1 1
2.520 Å, 2θ = 35.63°, I = 54, hkl 0 2 1
2.177 Å, 2θ = 41.48°, I = 37, hkl 3 0 0
2.095 Å, 2θ = 43.18°, I = 56, hkl 3 -1 1
1.895 Å, 2θ = 48.01°, I = 19, hkl 1 0 2
1.425 Å, 2θ = 65.49°, I = 18, hkl 1 4 0

Atomic structure:
```
data_Pa2TlS6
_chemical_formula_sum 'Pa2 Tl1 S6'
_cell_length_a 7.5415
_cell_length_b 7.5415
_cell_length_c 3.9605
_cell_angle_alpha 90.00
_cell_angle_beta 90.00
_cell_angle_gamma 120.00
_space_group_name_H-M_alt 'P -3'
_space_group_IT_number 147
loop_
_space_group_symop_operation_xyz
'x,y,z'
'-x,-y,-z'
'-y,x-y,z'
'y,-x+y,-z'
'-x+y,-x,z'
'x-y,x,-z'
loop_
_atom_site_label
_atom_site_fract_x
_atom_site_fract_y
_atom_site_fract_z
_atom_site_occupancy
Pa1 0.3333 0.6667 0.2591 1
Tl1 0.0000 0.0000 0.5000 1
S1 0.0872 0.6873 0.7583 1
```

Diffraction record for PaTl2S3. The powder diffractogram is calculated, not measured: it uses a structure optimized by DFT (PBE) and a wavelength of 1.5418 Å.

Top 8 peaks for 2θ = 15–90°, in order of rising 2θ:
3.909 Å, 2θ = 22.75°, I = 100, hkl 1 3 0
3.598 Å, 2θ = 24.74°, I = 45, hkl 0 2 1
3.233 Å, 2θ = 27.59°, I = 53, hkl 1 1 1
2.877 Å, 2θ = 31.08°, I = 41, hkl 2 0 0
2.837 Å, 2θ = 31.54°, I = 53, hkl 0 4 1
2.247 Å, 2θ = 40.13°, I = 25, hkl 2 2 1
2.020 Å, 2θ = 44.87°, I = 40, hkl 2 4 1
1.791 Å, 2θ = 51.00°, I = 27, hkl 1 3 2

Atomic structure:
```
data_PaTl2S3
_chemical_formula_sum 'Pa2 Tl4 S6'
_cell_length_a 5.7546
_cell_length_b 15.9787
_cell_length_c 4.0298
_cell_angle_alpha 90.00
_cell_angle_beta 90.00
_cell_angle_gamma 90.00
_space_group_name_H-M_alt 'C m m m'
_space_group_IT_number 65
_space_group_name_Hall '-C 2 2'
loop_
_atom_site_label
_atom_site_fract_x
_atom_site_fract_y
_atom_site_fract_z
_atom_site_occupancy
Pa1 0.0000 0.0000 0.0000 1
Tl1 0.0000 0.3430 0.5000 1
S1 0.0000 0.1106 0.5000 1
S2 0.0000 0.5000 0.0000 1
```

Diffraction record for UPa3Tl4S12. The powder diffractogram is calculated, not measured: it uses a structure optimized by DFT (PBE) and a wavelength of 1.5418 Å.

Top 8 peaks for 2θ = 15–90°, in order of rising 2θ:
3.705 Å, 2θ = 24.02°, I = 100, hkl 2 2 0
2.620 Å, 2θ = 34.23°, I = 37, hkl 4 0 0
2.139 Å, 2θ = 42.25°, I = 47, hkl 4 2 2
1.852 Å, 2θ = 49.19°, I = 27, hkl 4 4 0
1.657 Å, 2θ = 55.46°, I = 22, hkl 6 2 0
1.400 Å, 2θ = 66.81°, I = 25, hkl 6 4 2
1.235 Å, 2θ = 77.26°, I = 13, hkl 8 2 2
1.172 Å, 2θ = 82.30°, I = 12, hkl 8 4 0

Atomic structure:
```
data_UPa3Tl4S12
_chemical_formula_sum 'U2 Pa6 Tl8 S24'
_cell_length_a 10.4784
_cell_length_b 10.4784
_cell_length_c 10.4784
_cell_angle_alpha 90.00
_cell_angle_beta 90.00
_cell_angle_gamma 90.00
_space_group_name_H-M_alt 'I m -3 m'
_space_group_IT_number 229
_space_group_name_Hall '-I 4 2 3'
loop_
_atom_site_label
_atom_site_fract_x
_atom_site_fract_y
_atom_site_fract_z
_atom_site_occupancy
U1 0.0000 0.0000 0.0000 1
Pa1 0.0000 0.0000 0.5000 1
Tl1 0.2500 0.2500 0.2500 1
S1 0.0000 0.0000 0.2492 1
S2 0.0000 0.2500 0.5000 1
```

Diffraction record for Pa3Tl3VS8. The powder diffractogram is calculated, not measured: it uses a structure optimized by DFT (PBE) and a wavelength of 1.5418 Å.

Top 8 peaks for 2θ = 15–90°, in order of rising 2θ:
5.838 Å, 2θ = 15.18°, I = 29, hkl 0 1 2
3.895 Å, 2θ = 22.83°, I = 47, hkl 0 0 6
3.238 Å, 2θ = 27.55°, I = 60, hkl 2 0 2
2.919 Å, 2θ = 30.63°, I = 100, hkl 0 2 4
2.208 Å, 2θ = 40.88°, I = 44, hkl 2 0 8
1.946 Å, 2θ = 46.68°, I = 44, hkl 2 2 0
1.921 Å, 2θ = 47.33°, I = 22, hkl 0 2 10
1.741 Å, 2θ = 52.58°, I = 27, hkl 2 2 6

Atomic structure:
```
data_Pa3Tl3VS8
_chemical_formula_sum 'Pa9 Tl9 V3 S24'
_cell_length_a 7.7819
_cell_length_b 7.7819
_cell_length_c 23.3773
_cell_angle_alpha 90.00
_cell_angle_beta 90.00
_cell_angle_gamma 120.00
_space_group_name_H-M_alt 'R -3 m'
_space_group_IT_number 166
_space_group_name_Hall '-R 3 2"'
loop_
_atom_site_label
_atom_site_fract_x
_atom_site_fract_y
_atom_site_fract_z
_atom_site_occupancy
Pa1 0.0000 0.5000 0.0000 1
Tl1 0.0000 0.5000 0.5000 1
V1 0.0000 0.0000 0.0000 1
S1 0.0000 0.0000 0.2661 1
S2 0.0200 0.5100 0.7289 1
```

Diffraction record for TmPaS3. The powder diffractogram is calculated, not measured: it uses a structure optimized by DFT (PBE) and a wavelength of 1.5418 Å.

Top 8 peaks for 2θ = 15–90°, in order of rising 2θ:
4.966 Å, 2θ = 17.86°, I = 50, hkl 0 1 2
3.791 Å, 2θ = 23.47°, I = 68, hkl 1 0 4
3.286 Å, 2θ = 27.14°, I = 86, hkl 1 1 0
2.483 Å, 2θ = 36.18°, I = 28, hkl 0 2 4
2.359 Å, 2θ = 38.15°, I = 100, hkl 1 1 6
1.981 Å, 2θ = 45.80°, I = 27, hkl 2 1 4
1.897 Å, 2θ = 47.95°, I = 34, hkl 3 0 0
1.478 Å, 2θ = 62.88°, I = 39, hkl 2 2 6

Atomic structure:
```
data_TmPaS3
_chemical_formula_sum 'Tm6 Pa6 S18'
_cell_length_a 6.5716
_cell_length_b 6.5716
_cell_length_c 20.3317
_cell_angle_alpha 90.00
_cell_angle_beta 90.00
_cell_angle_gamma 120.00
_space_group_name_H-M_alt 'R 3 2'
_space_group_IT_number 155
_space_group_name_Hall 'R 3 2"'
loop_
_atom_site_label
_atom_site_fract_x
_atom_site_fract_y
_atom_site_fract_z
_atom_site_occupancy
Tm1 0.0000 0.0000 0.1575 1
Pa1 0.0000 0.0000 0.3438 1
S1 0.0070 0.3080 0.7514 1
```

Diffraction record for TmPa3S4. The powder diffractogram is calculated, not measured: it uses a structure optimized by DFT (PBE) and a wavelength of 1.5418 Å.

Top 8 peaks for 2θ = 15–90°, in order of rising 2θ:
3.258 Å, 2θ = 27.37°, I = 27, hkl 2 0 0
3.158 Å, 2θ = 28.26°, I = 50, hkl 1 2 -1
3.096 Å, 2θ = 28.83°, I = 24, hkl 0 0 2
2.742 Å, 2θ = 32.66°, I = 100, hkl 1 2 1
1.976 Å, 2θ = 45.92°, I = 26, hkl 3 2 -1
1.947 Å, 2θ = 46.64°, I = 12, hkl 2 0 2
1.903 Å, 2θ = 47.81°, I = 23, hkl 1 2 -3
1.579 Å, 2θ = 58.44°, I = 13, hkl 2 4 -2

Atomic structure:
```
data_TmPa3S4
_chemical_formula_sum 'Tm2 Pa6 S8'
_cell_length_a 6.9005
_cell_length_b 7.7313
_cell_length_c 6.5575
_cell_angle_alpha 90.00
_cell_angle_beta 109.20
_cell_angle_gamma 90.00
_space_group_name_H-M_alt 'P 1 2/c 1'
_space_group_IT_number 13
loop_
_space_group_symop_operation_xyz
'x,y,z'
'-x,-y,-z'
'-x,y,-z+1/2'
'x,-y,z+1/2'
loop_
_atom_site_label
_atom_site_fract_x
_atom_site_fract_y
_atom_site_fract_z
_atom_site_occupancy
Tm1 0.0000 0.1250 0.2500 1
Pa1 0.0000 0.3781 0.7500 1
Pa2 0.5000 0.1256 0.7500 1
Pa3 0.5000 0.3770 0.2500 1
S1 0.2425 0.1225 0.9989 1
S2 0.2458 0.3703 0.4968 1
```

Diffraction record for U2PaS3. The powder diffractogram is calculated, not measured: it uses a structure optimized by DFT (PBE) and a wavelength of 1.5418 Å.

Top 8 peaks for 2θ = 15–90°, in order of rising 2θ:
3.166 Å, 2θ = 28.19°, I = 100, hkl 2 2 0
2.742 Å, 2θ = 32.66°, I = 95, hkl 2 0 6
1.939 Å, 2θ = 46.86°, I = 70, hkl 4 0 0
1.653 Å, 2θ = 55.59°, I = 50, hkl 4 2 6
1.583 Å, 2θ = 58.29°, I = 25, hkl 4 4 0
1.258 Å, 2θ = 75.58°, I = 18, hkl 6 2 0
1.226 Å, 2θ = 77.91°, I = 33, hkl 6 0 6
1.119 Å, 2θ = 87.06°, I = 26, hkl 6 4 6

Atomic structure:
```
data_U2PaS3
_chemical_formula_sum 'U32 Pa16 S48'
_cell_length_a 7.7600
_cell_length_b 10.9657
_cell_length_c 23.2520
_cell_angle_alpha 90.00
_cell_angle_beta 90.00
_cell_angle_gamma 90.00
_space_group_name_H-M_alt 'F d d d'
_space_group_IT_number 70
loop_
_space_group_symop_operation_xyz
'x,y,z'
'-x,-y,-z'
'-x+1/4,-y+1/4,z'
'x+1/4,y+1/4,-z'
'x,-y+1/4,-z+1/4'
'-x,y+1/4,z+1/4'
'-x+1/4,y,-z+1/4'
'x+1/4,-y,z+1/4'
'x,y+1/2,z+1/2'
'-x,-y+1/2,-z+1/2'
'-x+1/4,-y+3/4,z+1/2'
'x+1/4,y+3/4,-z+1/2'
'x,-y+3/4,-z+3/4'
'-x,y+3/4,z+3/4'
'-x+1/4,y+1/2,-z+3/4'
'x+1/4,-y+1/2,z+3/4'
'x+1/2,y,z+1/2'
'-x+1/2,-y,-z+1/2'
'-x+3/4,-y+1/4,z+1/2'
'x+3/4,y+1/4,-z+1/2'
'x+1/2,-y+1/4,-z+3/4'
'-x+1/2,y+1/4,z+3/4'
'-x+3/4,y,-z+3/4'
'x+3/4,-y,z+3/4'
'x+1/2,y+1/2,z'
'-x+1/2,-y+1/2,-z'
'-x+3/4,-y+3/4,z'
'x+3/4,y+3/4,-z'
'x+1/2,-y+3/4,-z+1/4'
'-x+1/2,y+3/4,z+1/4'
'-x+3/4,y+1/2,-z+1/4'
'x+3/4,-y+1/2,z+1/4'
loop_
_atom_site_label
_atom_site_fract_x
_atom_site_fract_y
_atom_site_fract_z
_atom_site_occupancy
U1 0.1250 0.1250 0.0417 1
U2 0.1250 0.1250 0.3751 1
Pa1 0.1250 0.1250 0.5416 1
S1 0.1224 0.3750 0.3750 1
S2 0.1234 0.3738 0.2080 1
```

Diffraction record for PaVS6. The powder diffractogram is calculated, not measured: it uses a structure optimized by DFT (PBE) and a wavelength of 1.5418 Å.

Top 8 peaks for 2θ = 15–90°, in order of rising 2θ:
5.403 Å, 2θ = 16.41°, I = 79, hkl 1 1 0
4.914 Å, 2θ = 18.05°, I = 80, hkl 0 2 0
4.781 Å, 2θ = 18.56°, I = 100, hkl 0 0 1
4.037 Å, 2θ = 22.02°, I = 40, hkl 1 1 -1
2.923 Å, 2θ = 30.59°, I = 40, hkl 1 3 0
2.702 Å, 2θ = 33.16°, I = 45, hkl 2 2 0
2.604 Å, 2θ = 34.44°, I = 88, hkl 2 2 -1
2.374 Å, 2θ = 37.90°, I = 45, hkl 1 3 1

Atomic structure:
```
data_PaVS6
_chemical_formula_sum 'Pa2 V2 S12'
_cell_length_a 6.6939
_cell_length_b 9.8282
_cell_length_c 4.9475
_cell_angle_alpha 90.00
_cell_angle_beta 104.91
_cell_angle_gamma 90.00
_space_group_name_H-M_alt 'C 1 2/m 1'
_space_group_IT_number 12
loop_
_space_group_symop_operation_xyz
'x,y,z'
'-x,-y,-z'
'-x,y,-z'
'x,-y,z'
'x+1/2,y+1/2,z'
'-x+1/2,-y+1/2,-z'
'-x+1/2,y+1/2,-z'
'x+1/2,-y+1/2,z'
loop_
_atom_site_label
_atom_site_fract_x
_atom_site_fract_y
_atom_site_fract_z
_atom_site_occupancy
Pa1 0.0000 0.0000 0.0000 1
V1 0.0000 0.5000 0.0000 1
S1 0.1844 0.3134 0.8244 1
S2 0.2296 0.0000 0.6065 1
```